Simulated XRD peak list
Compound: Li2Ho2HfS6
Radiation: a wavelength of 1.5418 Å
Structure: a GGA-PBE-relaxed structure

Main lines, sorted by position (2θ from 10° to 90°):
two_theta, I_rel
14.33, 100
27.25, 62
28.69, 15
32.97, 54
33.52, 26
36.58, 18
43.41, 14
47.10, 10
47.25, 19
48.20, 18

```
Li2Ho2HfS6
1.0
3.3396 -5.7378 0.0000
3.3396 5.7378 0.0000
-2.0531 0.0000 6.1814
Li Ho Hf S
2 2 1 6
direct
0.1577 0.8423 0.0000
0.8423 0.1577 0.0000
0.3340 0.6660 0.5000
0.6660 0.3340 0.5000
0.0000 0.0000 0.5000
0.0706 0.3908 0.7397
0.2367 0.2367 0.2601
0.3908 0.0706 0.7397
0.6092 0.9294 0.2603
0.7633 0.7633 0.7399
0.9294 0.6092 0.2603
```

***

Simulated XRD peak list
Compound: NaErAg2F6
Radiation: a wavelength of 1.5418 Å
Structure: a GGA-PBE-relaxed structure

Main lines, sorted by position (2θ from 10° to 90°):
two_theta, I_rel
17.93, 73
18.03, 40
28.95, 49
29.10, 100
29.56, 47
29.68, 91
34.07, 33
41.95, 53
42.05, 25
52.52, 32

```
NaErAg2F6
1.0
6.0181 0.0000 0.0000
2.9868 5.2284 0.0000
2.9999 1.7143 5.0708
Na Er Ag F
1 1 2 6
direct
0.0000 0.0000 0.0000
0.5000 0.4999 0.4999
0.2665 0.2689 0.1902
0.7335 0.7321 0.8085
0.1523 0.3674 0.7616
0.2648 0.8480 0.2568
0.3774 0.7261 0.7521
0.6224 0.2716 0.2498
0.7361 0.1525 0.7424
0.8471 0.6329 0.2377
```

***

Simulated XRD peak list
Compound: Na5Tl3
Radiation: a wavelength of 1.5418 Å
Structure: a GGA-PBE-relaxed structure

Main lines, sorted by position (2θ from 10° to 90°):
two_theta, I_rel
18.92, 60
22.69, 42
28.86, 21
31.67, 100
35.62, 18
37.28, 32
42.13, 16
52.52, 24
61.52, 16
63.75, 27

```
Na5Tl3
1.0
-2.4118 2.4118 10.0817
2.4118 -2.4118 10.0817
2.4118 2.4118 -10.0817
Na Tl
5 3
direct
0.0000 0.0000 0.0000
0.2492 0.2492 0.0000
0.6177 0.1177 0.5000
0.7508 0.7508 0.0000
0.8823 0.3823 0.5000
0.1228 0.6228 0.5000
0.3772 0.8772 0.5000
0.5000 0.5000 0.0000
```

***

Simulated XRD peak list
Compound: Er3CoIr
Radiation: a wavelength of 1.5418 Å
Structure: a GGA-PBE-relaxed structure

Main lines, sorted by position (2θ from 10° to 90°):
two_theta, I_rel
18.05, 12
30.35, 100
32.28, 12
39.82, 57
42.27, 12
46.85, 40
52.42, 21
56.85, 16
63.13, 14
79.77, 14

```
Er3CoIr
1.0
6.7133 0.0000 0.0000
3.3473 5.8203 0.0000
3.3539 1.9390 6.1290
Er Co Ir
6 2 2
direct
0.1033 0.3944 0.2449
0.2431 0.8964 0.7548
0.3939 0.7579 0.2449
0.6061 0.2421 0.7551
0.7569 0.1036 0.2452
0.8967 0.6056 0.7551
0.1772 0.1775 0.9675
0.8228 0.8225 0.0325
0.3248 0.3251 0.5254
0.6752 0.6749 0.4746
```

***

Simulated XRD peak list
Compound: Pu2ZnN3
Radiation: a wavelength of 1.5418 Å
Structure: a GGA-PBE-relaxed structure

Main lines, sorted by position (2θ from 10° to 90°):
two_theta, I_rel
26.91, 25
27.41, 64
28.63, 100
31.57, 65
33.03, 100
36.97, 39
45.52, 25
46.18, 32
49.25, 28
54.43, 28

```
Pu2ZnN3
1.0
6.6948 -1.8501 0.0000
6.6948 1.8501 0.0000
-0.9906 0.0000 6.8943
Pu Zn N
4 2 6
direct
0.0759 0.0759 0.3345
0.3705 0.3705 0.0805
0.6295 0.6295 0.9195
0.9241 0.9241 0.6655
0.2431 0.2431 0.6585
0.7569 0.7569 0.3415
0.0955 0.0955 0.7023
0.1968 0.1968 0.1285
0.4577 0.4577 0.8175
0.5423 0.5423 0.1825
0.8032 0.8032 0.8715
0.9045 0.9045 0.2977
```

***

Simulated XRD peak list
Compound: HfNpPa
Radiation: a wavelength of 1.5418 Å
Structure: a GGA-PBE-relaxed structure

Main lines, sorted by position (2θ from 10° to 90°):
two_theta, I_rel
30.96, 28
33.11, 48
34.99, 50
36.64, 100
36.95, 50
37.53, 62
38.76, 22
58.84, 31
63.23, 20
64.53, 33

```
HfNpPa
1.0
2.8881 1.6674 13.9404
-2.8881 1.6674 13.9404
0.0000 -3.3349 13.9404
Hf Np Pa
6 6 6
direct
0.0427 0.0427 0.0427
0.1826 0.1826 0.1826
0.2605 0.2605 0.2605
0.7395 0.7395 0.7395
0.8174 0.8174 0.8174
0.9573 0.9573 0.9573
0.1731 0.7444 0.7444
0.2556 0.2556 0.8269
0.2556 0.8269 0.2556
0.7444 0.1731 0.7444
0.7444 0.7444 0.1731
0.8269 0.2556 0.2556
0.0000 0.5000 0.5000
0.3981 0.3981 0.3981
0.5000 0.0000 0.5000
0.5000 0.5000 0.0000
0.5000 0.5000 0.5000
0.6019 0.6019 0.6019
```

***

Please write out number 5 again, unchanged.
Simulated XRD peak list
Compound: Pu2ZnN3
Radiation: a wavelength of 1.5418 Å
Structure: a GGA-PBE-relaxed structure

Main lines, sorted by position (2θ from 10° to 90°):
two_theta, I_rel
26.91, 25
27.41, 64
28.63, 100
31.57, 65
33.03, 100
36.97, 39
45.52, 25
46.18, 32
49.25, 28
54.43, 28

```
Pu2ZnN3
1.0
6.6948 -1.8501 0.0000
6.6948 1.8501 0.0000
-0.9906 0.0000 6.8943
Pu Zn N
4 2 6
direct
0.0759 0.0759 0.3345
0.3705 0.3705 0.0805
0.6295 0.6295 0.9195
0.9241 0.9241 0.6655
0.2431 0.2431 0.6585
0.7569 0.7569 0.3415
0.0955 0.0955 0.7023
0.1968 0.1968 0.1285
0.4577 0.4577 0.8175
0.5423 0.5423 0.1825
0.8032 0.8032 0.8715
0.9045 0.9045 0.2977
```